Theoretical X-ray diffraction stick pattern
Compound: Fe3P2H16O16
Radiation: Cu Kα (λ = 1.5418 Å)
Structure: a crystal structure in the Materials Project, relaxed with GGA+U

Top 6 peaks for 5 to 70 degrees two-theta, in order of rising 2θ:
two_theta  I/Imax
11.10  32
13.24  100
17.86  30
27.68  40
29.42  29
32.39  27

Structure:
```
data_Fe3P2H16O16
_chemical_formula_sum 'Fe6 P4 H32 O32'
_space_group_name_H-M_alt 'C 1 2/m 1'
_space_group_IT_number 12
_cell_length_a 10.2493
_cell_length_b 13.3726
_cell_length_c 4.7861
_cell_angle_alpha 90.00
_cell_angle_beta 104.30
_cell_angle_gamma 90.00
loop_
_space_group_symop_operation_xyz
'x,y,z'
'-x,-y,-z'
'-x,y,-z'
'x,-y,z'
'x+1/2,y+1/2,z'
'-x+1/2,-y+1/2,-z'
'-x+1/2,y+1/2,-z'
'x+1/2,-y+1/2,z'
loop_
_atom_site_label
_atom_site_fract_x
_atom_site_fract_y
_atom_site_fract_z
Fe1 0.0000 0.0000 0.0000
Fe2 0.0000 0.3899 0.0000
P1 0.1884 0.5000 0.6261
H1 0.0435 0.2188 0.2851
H2 0.1268 0.0832 0.6339
H3 0.1306 0.3030 0.4849
H4 0.1897 0.1292 0.9429
O1 0.1020 0.1174 0.7988
O2 0.1036 0.2763 0.2866
O3 0.1107 0.5000 0.3057
O4 0.1569 0.0000 0.3679
O5 0.1585 0.4029 0.7810
```